No. 1
Simulated X-ray powder pattern of RbCu4Sb3 for λ = 1.5418 Å (Cu Kα), from DFT lattice parameters and positions (GGA-PBE).
Kinematic intensities with the Lorentz-polarization factor, no thermal factor.

Top 12 peaks for 2θ = 5–70°, by angle:
| Position (°2θ) | Rel. int. |
| --- | --- |
| 8.73 | 34 |
| 22.36 | 8 |
| 27.12 | 100 |
| 29.21 | 7 |
| 30.55 | 15 |
| 39.78 | 44 |
| 41.79 | 46 |
| 46.58 | 39 |
| 49.71 | 7 |
| 50.53 | 35 |
| 60.58 | 15 |
| 67.59 | 7 |

Structure:
Cell lengths 4.3231, 4.3231, 10.1264 Å; angles 90.00, 90.00, 90.00 degrees
Atoms (fractional coordinates):
Rb: 0.0000 0.0000 0.0000
Cu: 0.0000 0.5000 0.3496
Cu: 0.0000 0.5000 0.6504
Cu: 0.5000 0.0000 0.3496
Cu: 0.5000 0.0000 0.6504
Sb: 0.0000 0.0000 0.5000
Sb: 0.5000 0.5000 0.2095
Sb: 0.5000 0.5000 0.7905


No. 2
Simulated X-ray powder pattern of P4H36WC12Cl2 for λ = 1.5418 Å (Cu Kα), from DFT lattice parameters and positions (GGA-PBE).
Kinematic intensities with the Lorentz-polarization factor, no thermal factor.

Top 12 peaks for 2θ = 5–70°, by angle:
| Position (°2θ) | Rel. int. |
| --- | --- |
| 11.84 | 100 |
| 13.17 | 31 |
| 14.64 | 18 |
| 19.74 | 10 |
| 22.16 | 20 |
| 23.96 | 8 |
| 26.52 | 15 |
| 29.72 | 12 |
| 32.45 | 10 |
| 34.83 | 18 |
| 43.01 | 11 |
| 51.25 | 9 |

Structure:
Cell lengths 9.0447, 9.0447, 9.0447 Å; angles 116.60, 116.60, 96.00 degrees
Atoms (fractional coordinates):
P: 0.1482 0.7852 0.0000
P: 0.2148 0.2148 0.3629
P: 0.7852 0.1482 0.0000
P: 0.8518 0.8518 0.6371
H: 0.0230 0.6759 0.5532
H: 0.0530 0.1846 0.5084
H: 0.0798 0.4614 0.8188
H: 0.1003 0.7285 0.2147
H: 0.1144 0.8997 0.6282
H: 0.1227 0.4698 0.4468
H: 0.1846 0.0530 0.5084
H: 0.2610 0.6426 0.1812
H: 0.2715 0.4862 0.3718
H: 0.2891 0.2891 0.6922
H: 0.3238 0.8154 0.8684
H: 0.3241 0.8773 0.3470
H: 0.3574 0.5386 0.6184
H: 0.4030 0.7109 0.0000
H: 0.4555 0.9470 0.1316
H: 0.4614 0.0798 0.8188
H: 0.4698 0.1227 0.4468
H: 0.4862 0.2715 0.3718
H: 0.5138 0.8856 0.7853
H: 0.5302 0.9770 0.6530
H: 0.5386 0.3574 0.6184
H: 0.5445 0.6762 0.4916
H: 0.5970 0.5970 0.3078
H: 0.6426 0.2610 0.1812
H: 0.6759 0.0230 0.5532
H: 0.6762 0.5445 0.4916
H: 0.7109 0.4030 0.0000
H: 0.7285 0.1003 0.2147
H: 0.7390 0.9202 0.3816
H: 0.8154 0.3238 0.8684
H: 0.8773 0.3241 0.3470
H: 0.8856 0.5138 0.7853
H: 0.8997 0.1144 0.6282
H: 0.9202 0.7390 0.3816
H: 0.9470 0.4555 0.1316
H: 0.9770 0.5302 0.6530
W: 0.0000 0.0000 0.0000
C: 0.0105 0.5492 0.7942
C: 0.1839 0.1839 0.5359
C: 0.2163 0.7550 0.2058
C: 0.2450 0.4508 0.4613
C: 0.3520 0.8161 0.0000
C: 0.4508 0.2450 0.4613
C: 0.5492 0.0105 0.7942
C: 0.6480 0.6480 0.4641
C: 0.7550 0.2163 0.2058
C: 0.7837 0.9895 0.5387
C: 0.8161 0.3520 0.0000
C: 0.9895 0.7837 0.5387
Cl: 0.2035 0.2035 0.0000
Cl: 0.7965 0.7965 0.0000